# La2Pd5Au5
Theoretical powder XRD pattern, CuKα. Input: a DFT-relaxed cell (GGA-PBE, Alexandria).
Lines closer than 0.1° are merged.

Structure:
abc: 4.6247 5.4916 9.5202
angles: 90.00 90.00 90.00
Fractional coordinates of all 12 atoms:
1 La 0.0000 0.0000 0.0000
2 La 0.0000 0.5000 0.5000
3 Pd 0.0000 0.0000 0.3348
4 Pd 0.0000 0.0000 0.6652
5 Pd 0.0000 0.5000 0.1627
6 Pd 0.0000 0.5000 0.8373
7 Pd 0.5000 0.5000 0.0000
8 Au 0.5000 0.0000 0.5000
9 Au 0.5000 0.2504 0.2466
10 Au 0.5000 0.2504 0.7534
11 Au 0.5000 0.7496 0.2466
12 Au 0.5000 0.7496 0.7534

Peak list (8 most intense, 2θ = 5–70°, low angle first)
18.65°, d = 4.759 Å, rel. 26
26.88°, d = 3.317 Å, rel. 40
37.82°, d = 2.379 Å, rel. 59
38.10°, d = 2.362 Å, rel. 100
38.95°, d = 2.312 Å, rel. 44
42.74°, d = 2.116 Å, rel. 68
55.41°, d = 1.658 Å, rel. 40
68.29°, d = 1.374 Å, rel. 25

# TmZnPd14
Theoretical powder XRD pattern, CuKα. Input: a DFT-relaxed cell (GGA-PBE, Alexandria).
Lines closer than 0.1° are merged.

Structure:
abc: 5.6463 5.6463 7.9024
angles: 90.00 90.00 90.00
Fractional coordinates of all 16 atoms:
1 Tm 0.0000 0.0000 0.0000
2 Zn 0.5000 0.5000 0.0000
3 Pd 0.0000 0.0000 0.5000
4 Pd 0.0000 0.5000 0.0000
5 Pd 0.0000 0.5000 0.5000
6 Pd 0.2532 0.2532 0.2506
7 Pd 0.2532 0.2532 0.7494
8 Pd 0.2532 0.7468 0.2506
9 Pd 0.2532 0.7468 0.7494
10 Pd 0.5000 0.0000 0.0000
11 Pd 0.5000 0.0000 0.5000
12 Pd 0.5000 0.5000 0.5000
13 Pd 0.7468 0.2532 0.2506
14 Pd 0.7468 0.2532 0.7494
15 Pd 0.7468 0.7468 0.2506
16 Pd 0.7468 0.7468 0.7494

Peak list (8 most intense, 2θ = 5–70°, low angle first)
15.69°, d = 5.646 Å, rel. 1
19.32°, d = 4.594 Å, rel. 2
27.55°, d = 3.237 Å, rel. 1
39.22°, d = 2.297 Å, rel. 100
45.43°, d = 1.996 Å, rel. 33
45.94°, d = 1.976 Å, rel. 16
66.21°, d = 1.412 Å, rel. 10
66.60°, d = 1.404 Å, rel. 20

- Which formula does entry 2 have?
  TmZnPd14

Please write out number 1 again, unchanged.
# La2Pd5Au5
Theoretical powder XRD pattern, CuKα. Input: a DFT-relaxed cell (GGA-PBE, Alexandria).
Lines closer than 0.1° are merged.

Structure:
abc: 4.6247 5.4916 9.5202
angles: 90.00 90.00 90.00
Fractional coordinates of all 12 atoms:
1 La 0.0000 0.0000 0.0000
2 La 0.0000 0.5000 0.5000
3 Pd 0.0000 0.0000 0.3348
4 Pd 0.0000 0.0000 0.6652
5 Pd 0.0000 0.5000 0.1627
6 Pd 0.0000 0.5000 0.8373
7 Pd 0.5000 0.5000 0.0000
8 Au 0.5000 0.0000 0.5000
9 Au 0.5000 0.2504 0.2466
10 Au 0.5000 0.2504 0.7534
11 Au 0.5000 0.7496 0.2466
12 Au 0.5000 0.7496 0.7534

Peak list (8 most intense, 2θ = 5–70°, low angle first)
18.65°, d = 4.759 Å, rel. 26
26.88°, d = 3.317 Å, rel. 40
37.82°, d = 2.379 Å, rel. 59
38.10°, d = 2.362 Å, rel. 100
38.95°, d = 2.312 Å, rel. 44
42.74°, d = 2.116 Å, rel. 68
55.41°, d = 1.658 Å, rel. 40
68.29°, d = 1.374 Å, rel. 25